Entry 1:
Ca4Mn2O7: calculated XRD peak list (Cu Kα), based on a DFT-relaxed cell (PBE+U, Alexandria).
Lines closer than 0.1° are merged.

The 10 most intense peaks (10 to 90 degrees two-theta), by intensity:
d = 2.750 Å, 32.56 deg, rel. 100, (0 2 0); d = 2.521 Å, 35.61 deg, rel. 37, (0 0 4); d = 2.045 Å, 44.28 deg, rel. 35, (6 0 0); d = 1.858 Å, 49.02 deg, rel. 28, (0 2 4); d = 1.588 Å, 58.09 deg, rel. 21, (6 0 4); d = 6.133 Å, 14.44 deg, rel. 21, (2 0 0); d = 1.375 Å, 68.20 deg, rel. 17, (6 2 4); d = 1.496 Å, 62.03 deg, rel. 14, (3 1 6); d = 1.641 Å, 56.06 deg, rel. 11, (6 2 0); d = 2.348 Å, 38.33 deg, rel. 7, (3 1 3)

Structural model:
a b c (Å): 12.267 5.499 10.085
angles (deg): 90.00 90.00 90.00
Space group Cmce (No. 64)
One atom of each set of equivalent atoms:
1 Ca 0.152 0.202 0.126
2 Mn 0.000 0.231 0.375
3 O 0.000 0.000 0.000
4 O 0.000 0.085 0.696
5 O 0.161 0.238 0.380

=====

Entry 2:
Ca2MnO2: calculated XRD peak list (Cu Kα), based on a DFT-relaxed cell (PBE+U, Alexandria).
Lines closer than 0.1° are merged.

The 10 most intense peaks (10 to 90 degrees two-theta), by intensity:
d = 2.879 Å, 31.06 deg, rel. 100, (1 0 3); d = 1.727 Å, 53.03 deg, rel. 39, (2 1 3); d = 3.052 Å, 29.26 deg, rel. 38, (1 1 0); d = 2.158 Å, 41.86 deg, rel. 35, (2 0 0); d = 1.633 Å, 56.36 deg, rel. 18, (1 1 6); d = 5.797 Å, 15.28 deg, rel. 15, (0 0 2); d = 2.899 Å, 30.85 deg, rel. 13, (0 0 4); d = 1.526 Å, 60.69 deg, rel. 10, (2 2 0); d = 1.731 Å, 52.90 deg, rel. 9, (2 0 4); d = 1.143 Å, 84.79 deg, rel. 9, (3 2 3)

Structural model:
a b c (Å): 4.316 4.316 11.594
angles (deg): 90.00 90.00 90.00
Space group I4/mmm (No. 139)
One atom of each set of equivalent atoms:
1 Ca 0.000 0.000 0.190
2 Mn 0.000 0.000 0.500
3 O 0.000 0.500 0.250

=====

Entry 3:
CaMn5O7: calculated XRD peak list (Cu Kα), based on a DFT-relaxed cell (PBE+U, Alexandria).
Lines closer than 0.1° are merged.

The 10 most intense peaks (10 to 90 degrees two-theta), by intensity:
d = 2.658 Å, 33.72 deg, rel. 100, (0 1 6); d = 2.330 Å, 38.64 deg, rel. 75, (1 -1 2); d = 2.640 Å, 33.95 deg, rel. 70, (0 1 -6); d = 2.243 Å, 40.20 deg, rel. 52, (-1 1 3); d = 1.573 Å, 58.71 deg, rel. 48, (2 1 0); d = 2.119 Å, 42.68 deg, rel. 46, (1 2 3); d = 2.590 Å, 34.63 deg, rel. 42, (0 2 0); d = 2.108 Å, 42.91 deg, rel. 39, (1 2 -3); d = 2.557 Å, 35.10 deg, rel. 28, (1 0 4); d = 2.746 Å, 32.61 deg, rel. 27, (1 0 -3)

Structural model:
a b c (Å): 3.152 5.323 18.495
angles (deg): 89.54 89.81 76.71
Space group P1 (No. 1)
One atom of each set of equivalent atoms:
1 Ca 0.000 0.000 0.000
2 Ca 0.277 0.155 0.496
3 Mn 0.129 0.584 0.248
4 Mn 0.171 0.547 0.740
5 Mn 0.438 0.034 0.176
6 Mn 0.459 0.019 0.824
7 Mn 0.546 0.655 0.402
8 Mn 0.558 0.646 0.593
9 Mn 0.727 0.512 0.094
10 Mn 0.774 0.488 0.902
11 Mn 0.818 0.132 0.321
12 Mn 0.861 0.096 0.666
13 O 0.072 0.732 0.831
14 O 0.103 0.769 0.148
15 O 0.148 0.398 0.349
16 O 0.251 0.391 0.640
17 O 0.347 0.227 0.087
18 O 0.390 0.214 0.919
19 O 0.489 0.800 0.696
20 O 0.535 0.865 0.275
21 O 0.630 0.687 0.997
22 O 0.643 0.477 0.503
23 O 0.727 0.303 0.223
24 O 0.850 0.281 0.770
25 O 0.878 0.906 0.568
26 O 0.912 0.947 0.410